Starting from a cell relaxed with PBE, the X-ray powder pattern of Mg2NiH was simulated for Cu Kα, 1.54184 Å.
Intensities are scaled so that the largest is 100.

Peak list (6 most intense, 2θ from 10° to 90°, low angle first)
2θ 20.98, intensity 63
2θ 36.48, intensity 100
2θ 36.90, intensity 87
2θ 42.21, intensity 43
2θ 47.59, intensity 31
2θ 57.29, intensity 35

Structural model:
```
Mg2NiH
1.0
-3.028 3.028 2.961
3.028 -3.028 2.961
3.028 3.028 -2.961
Mg Ni H
4 2 2
direct
0.051 0.625 0.926
0.375 0.301 0.426
0.699 0.125 0.074
0.875 0.949 0.574
0.250 0.750 0.500
0.500 0.500 0.000
0.000 0.000 0.000
0.750 0.250 0.500
```

Starting from a cell relaxed with PBE, the X-ray powder pattern of MgNi3H7 was simulated for Cu Kα, 1.54184 Å.
Intensities are scaled so that the largest is 100.

Peak list (6 most intense, 2θ from 10° to 90°, low angle first)
2θ 33.42, intensity 68
2θ 36.69, intensity 100
2θ 43.53, intensity 30
2θ 43.66, intensity 33
2θ 44.08, intensity 55
2θ 56.32, intensity 28

Structural model:
```
MgNi3H7
1.0
2.904 -3.031 0.000
2.904 3.031 0.000
-1.730 0.000 4.158
Mg Ni H
1 3 7
direct
0.000 0.000 0.000
0.271 0.729 0.500
0.500 0.500 0.000
0.729 0.271 0.500
0.000 0.000 0.500
0.132 0.538 0.736
0.374 0.374 0.262
0.462 0.868 0.264
0.538 0.132 0.736
0.626 0.626 0.738
0.868 0.462 0.264
```

Starting from a cell relaxed with PBE, the X-ray powder pattern of MgNi4H7 was simulated for Cu Kα, 1.54184 Å.
Intensities are scaled so that the largest is 100.

Peak list (6 most intense, 2θ from 10° to 90°, low angle first)
2θ 13.27, intensity 55
2θ 25.75, intensity 26
2θ 38.28, intensity 100
2θ 42.23, intensity 26
2θ 45.19, intensity 80
2θ 50.98, intensity 26

Structural model:
```
MgNi4H7
1.0
3.524 0.000 0.000
0.000 13.339 0.000
0.000 0.000 3.583
Mg Ni H
2 8 14
direct
0.250 0.250 0.231
0.750 0.750 0.769
0.250 0.000 0.751
0.250 0.500 0.751
0.250 0.644 0.242
0.250 0.856 0.242
0.750 0.000 0.249
0.750 0.144 0.758
0.750 0.356 0.758
0.750 0.500 0.249
0.250 0.128 0.752
0.250 0.372 0.752
0.250 0.511 0.254
0.250 0.625 0.764
0.250 0.750 0.428
0.250 0.875 0.764
0.250 0.989 0.254
0.750 0.011 0.746
0.750 0.125 0.236
0.750 0.250 0.572
0.750 0.375 0.236
0.750 0.489 0.746
0.750 0.628 0.248
0.750 0.872 0.248
```

Starting from a cell relaxed with PBE, the X-ray powder pattern of PrMgNi2H8 was simulated for Cu Kα, 1.54184 Å.
Intensities are scaled so that the largest is 100.

Peak list (6 most intense, 2θ from 10° to 90°, low angle first)
2θ 23.27, intensity 25
2θ 26.99, intensity 100
2θ 36.05, intensity 86
2θ 40.90, intensity 50
2θ 55.64, intensity 24
2θ 71.32, intensity 22

Structural model:
```
PrMgNi2H8
1.0
4.413 0.000 0.000
-2.207 3.822 0.000
0.000 0.000 6.572
Pr Mg Ni H
1 1 2 8
direct
0.000 0.000 0.000
0.000 0.000 0.500
0.333 0.667 0.715
0.667 0.333 0.285
0.031 0.682 0.297
0.318 0.349 0.297
0.333 0.667 0.952
0.349 0.031 0.703
0.651 0.969 0.297
0.667 0.333 0.048
0.682 0.651 0.703
0.969 0.318 0.703
```

Starting from a cell relaxed with PBE, the X-ray powder pattern of SrMgNiH4 was simulated for Cu Kα, 1.54184 Å.
Intensities are scaled so that the largest is 100.

Peak list (6 most intense, 2θ from 10° to 90°, low angle first)
2θ 22.30, intensity 43
2θ 28.92, intensity 100
2θ 31.75, intensity 78
2θ 41.36, intensity 28
2θ 49.39, intensity 48
2θ 54.83, intensity 28

Structural model:
```
SrMgNiH4
1.0
6.904 0.000 0.000
0.000 6.904 0.000
0.000 0.000 6.904
Sr Mg Ni H
4 4 4 16
direct
0.163 0.337 0.663
0.337 0.663 0.163
0.663 0.163 0.337
0.837 0.837 0.837
0.153 0.153 0.153
0.347 0.847 0.653
0.653 0.347 0.847
0.847 0.653 0.347
0.060 0.940 0.440
0.440 0.060 0.940
0.560 0.560 0.560
0.940 0.440 0.060
0.041 0.419 0.268
0.074 0.574 0.926
0.081 0.732 0.541
0.232 0.959 0.919
0.268 0.041 0.419
0.419 0.268 0.041
0.426 0.426 0.426
0.459 0.581 0.768
0.541 0.081 0.732
0.574 0.926 0.074
0.581 0.768 0.459
0.732 0.541 0.081
0.768 0.459 0.581
0.919 0.232 0.959
0.926 0.074 0.574
0.959 0.919 0.232
```

Starting from a cell relaxed with PBE, the X-ray powder pattern of YbMgNiH4 was simulated for Cu Kα, 1.54184 Å.
Intensities are scaled so that the largest is 100.

Peak list (6 most intense, 2θ from 10° to 90°, low angle first)
2θ 18.84, intensity 24
2θ 23.12, intensity 22
2θ 29.99, intensity 100
2θ 32.93, intensity 51
2θ 45.14, intensity 24
2θ 51.31, intensity 34

Structural model:
```
YbMgNiH4
1.0
6.662 0.000 0.000
0.000 6.662 0.000
0.000 0.000 6.662
Yb Mg Ni H
4 4 4 16
direct
0.149 0.351 0.649
0.351 0.649 0.149
0.649 0.149 0.351
0.851 0.851 0.851
0.159 0.159 0.159
0.341 0.841 0.659
0.659 0.341 0.841
0.841 0.659 0.341
0.045 0.955 0.455
0.455 0.045 0.955
0.545 0.545 0.545
0.955 0.455 0.045
0.059 0.739 0.561
0.061 0.441 0.261
0.093 0.593 0.907
0.239 0.939 0.941
0.261 0.061 0.441
0.407 0.407 0.407
0.439 0.559 0.761
0.441 0.261 0.061
0.559 0.761 0.439
0.561 0.059 0.739
0.593 0.907 0.093
0.739 0.561 0.059
0.761 0.439 0.559
0.907 0.093 0.593
0.939 0.941 0.239
0.941 0.239 0.939
```

Starting from a cell relaxed with PBE, the X-ray powder pattern of Mg2ZnNiH was simulated for Cu Kα, 1.54184 Å.
Intensities are scaled so that the largest is 100.

Peak list (6 most intense, 2θ from 10° to 90°, low angle first)
2θ 26.32, intensity 15
2θ 28.71, intensity 25
2θ 39.34, intensity 100
2θ 41.05, intensity 45
2θ 70.16, intensity 17
2θ 73.65, intensity 28

Structural model:
```
Mg2ZnNiH
1.0
4.397 0.000 0.000
0.000 4.397 0.000
0.000 0.000 3.386
Mg Zn Ni H
2 1 1 1
direct
0.000 0.500 0.000
0.500 0.000 0.000
0.000 0.000 0.500
0.500 0.500 0.500
0.500 0.500 0.000
```

Starting from a cell relaxed with PBE, the X-ray powder pattern of Mg2H2O3 was simulated for Cu Kα, 1.54184 Å.
Intensities are scaled so that the largest is 100.

Peak list (6 most intense, 2θ from 10° to 90°, low angle first)
2θ 11.74, intensity 72
2θ 23.61, intensity 15
2θ 33.39, intensity 14
2θ 41.30, intensity 100
2θ 59.67, intensity 29
2θ 59.99, intensity 26

Structural model:
```
Mg2H2O3
1.0
3.099 0.000 0.000
-1.549 2.684 0.000
0.000 0.000 7.537
Mg H O
2 2 3
direct
0.333 0.667 0.163
0.667 0.333 0.837
0.333 0.667 0.569
0.667 0.333 0.431
0.000 0.000 0.000
0.333 0.667 0.697
0.667 0.333 0.303
```

Number 2 is which compound? MgNi3H7